1.
Structure and simulated X-ray diffraction stick pattern of KHgH2Cl3O (a GGA-PBE-relaxed structure; copper Kα).
Neutral-atom scattering factors, no anomalous dispersion.

The 10 most intense peaks (10 to 90 degrees two-theta), sorted by position:
d 7.835, rel. 100; d 4.644, rel. 22; d 4.317, rel. 21; d 3.632, rel. 68; d 3.606, rel. 30; d 3.543, rel. 18; d 3.413, rel. 21; d 2.768, rel. 28; d 2.277, rel. 22; d 2.001, rel. 16

Cell and atoms:
```
32
Lattice="8.6414 0.0000 0.0000 0.0000 4.4353 0.0000 0.0000 0.0000 18.5756" Properties=species:S:1:pos:R:3 pbc="T T T"
K 0.6305 1.1088 3.4397
K 3.6902 3.3265 12.7275
K 4.9512 1.1088 5.8481
K 8.0109 3.3265 15.1360
Hg 0.5347 3.3265 7.3864
Hg 3.7860 1.1088 16.6742
Hg 4.8554 3.3265 1.9015
Hg 8.1067 1.1088 11.1893
H 0.5431 1.1088 17.4791
H 1.0117 3.3265 0.9930
H 3.3090 1.1088 10.2808
H 3.7776 3.3265 8.1913
H 4.8638 1.1088 10.3844
H 5.3324 3.3265 8.2949
H 7.6297 1.1088 17.5827
H 8.0983 3.3265 1.0965
Cl 1.1382 1.1088 12.9434
Cl 1.6832 3.3265 9.5331
Cl 1.8575 1.1088 6.4085
Cl 2.4632 3.3265 15.6963
Cl 2.6375 1.1088 0.2453
Cl 3.1825 3.3265 3.6556
Cl 5.4589 1.1088 14.9201
Cl 6.0039 3.3265 18.3304
Cl 6.1781 1.1088 2.8793
Cl 6.7839 3.3265 12.1671
Cl 6.9581 1.1088 9.0425
Cl 7.5031 3.3265 5.6322
O 0.2760 3.3265 1.6362
O 4.0446 1.1088 10.9240
O 4.5967 3.3265 7.6516
O 8.3653 1.1088 16.9394
```

---

2.
Structure and simulated X-ray diffraction stick pattern of Tb2Al3Au4 (a GGA-PBE-relaxed structure; copper Kα).
Neutral-atom scattering factors, no anomalous dispersion.

The 10 most intense peaks (10 to 90 degrees two-theta), sorted by position:
d 3.501, rel. 35; d 3.472, rel. 81; d 2.744, rel. 28; d 2.603, rel. 94; d 2.575, rel. 66; d 2.449, rel. 60; d 2.327, rel. 100; d 2.239, rel. 26; d 2.167, rel. 25; d 1.372, rel. 26

Cell and atoms:
```
18
Lattice="2.9129 -7.8523 0.0000 2.9129 7.8523 0.0000 0.0000 0.0000 7.7329" Properties=species:S:1:pos:R:3 pbc="T T T"
Tb 2.9129 6.1939 6.9953
Tb 2.9129 1.6585 3.1288
Tb 2.9129 -1.6585 4.6041
Tb 2.9129 -6.1939 0.7376
Al 0.0000 0.0000 3.8665
Al 1.4564 3.6085 5.7997
Al 1.4564 -3.6085 1.9332
Al 2.9129 0.0000 0.0000
Al 4.3693 3.6085 5.7997
Al 4.3693 -3.6085 1.9332
Au 2.9129 5.0274 4.0801
Au 1.4564 0.9306 5.7997
Au 1.4564 -0.9306 1.9332
Au 2.9129 2.8249 0.2136
Au 2.9129 -2.8249 7.5193
Au 4.3693 0.9306 5.7997
Au 4.3693 -0.9306 1.9332
Au 2.9129 -5.0274 3.6528
```

---

3.
Structure and simulated X-ray diffraction stick pattern of Sc5Cu5O13 (a GGA-PBE-relaxed structure; copper Kα).
Neutral-atom scattering factors, no anomalous dispersion.

The 10 most intense peaks (10 to 90 degrees two-theta), sorted by position:
d 2.836, rel. 49; d 2.740, rel. 100; d 2.724, rel. 50; d 2.409, rel. 14; d 2.391, rel. 13; d 1.721, rel. 14; d 1.709, rel. 14; d 1.706, rel. 14; d 1.673, rel. 34; d 1.657, rel. 15

Cell and atoms:
```
23
Lattice="5.8146 0.0000 0.0000 -0.9254 5.9232 0.0000 -2.8949 -2.4015 7.9280" Properties=species:S:1:pos:R:3 pbc="T T T"
Sc 0.0000 0.0000 0.0000
Sc -0.9145 4.6866 3.0796
Sc -0.0089 -1.6897 6.4077
Sc 1.9750 5.4327 1.6074
Sc 2.0098 4.1958 4.7191
Cu -1.9153 0.8438 7.0593
Cu 0.8869 2.1081 2.6133
Cu 1.0399 1.1969 5.5783
Cu 3.9237 2.7203 0.7094
Cu 3.9077 1.7225 3.8605
O -0.9529 2.5118 2.3135
O -2.1069 -0.9601 6.5936
O -1.7788 3.4821 4.6151
O -1.9324 2.6187 7.6311
O 0.9587 0.3669 1.9044
O 1.1174 3.9600 2.8061
O 1.0677 -0.5749 4.9139
O 0.0582 0.4933 7.0206
O 0.9216 3.0014 6.1644
O 2.0190 1.9088 4.1594
O 3.8947 0.9106 0.3693
O 3.8522 4.5057 1.1801
O 3.9603 -0.1421 3.4459
```

---

4.
Structure and simulated X-ray diffraction stick pattern of Si4C3 (a GGA-PBE-relaxed structure; copper Kα).
Neutral-atom scattering factors, no anomalous dispersion.

The 10 most intense peaks (10 to 90 degrees two-theta), sorted by position:
d 4.361, rel. 3; d 3.084, rel. 2; d 2.518, rel. 100; d 2.181, rel. 24; d 1.950, rel. 1; d 1.780, rel. 1; d 1.542, rel. 43; d 1.315, rel. 36; d 1.259, rel. 6; d 1.090, rel. 7

Cell and atoms:
```
7
Lattice="4.3611 0.0000 0.0000 0.0000 4.3611 0.0000 0.0000 0.0000 4.3611" Properties=species:S:1:pos:R:3 pbc="T T T"
Si 1.0835 1.0835 3.2776
Si 1.0835 3.2776 1.0835
Si 3.2776 1.0835 1.0835
Si 3.2776 3.2776 3.2776
C 0.0000 2.1806 2.1806
C 2.1806 0.0000 2.1806
C 2.1806 2.1806 0.0000
```

---

5.
Structure and simulated X-ray diffraction stick pattern of Pd4Au5 (a GGA-PBE-relaxed structure; copper Kα).
Neutral-atom scattering factors, no anomalous dispersion.

The 10 most intense peaks (10 to 90 degrees two-theta), sorted by position:
d 4.346, rel. 3; d 3.636, rel. 5; d 2.347, rel. 100; d 2.049, rel. 33; d 2.001, rel. 16; d 1.449, rel. 11; d 1.432, rel. 21; d 1.233, rel. 26; d 1.212, rel. 12; d 1.173, rel. 11

Cell and atoms:
```
9
Lattice="-4.3460 4.3460 2.0013 4.3460 -4.3460 2.0013 4.3460 4.3460 -2.0013" Properties=species:S:1:pos:R:3 pbc="T T T"
Pd 1.4521 1.4521 0.0000
Pd 2.8939 -2.8939 2.0013
Pd -2.8939 2.8939 2.0013
Pd 2.8939 2.8939 2.0013
Au 4.3460 1.4852 0.0000
Au 1.4852 4.3460 0.0000
Au 0.0000 0.0000 2.0013
Au 2.8608 0.0000 2.0013
Au 0.0000 2.8608 2.0013
```

---

6.
Structure and simulated X-ray diffraction stick pattern of Dy5Er12Sc (a GGA-PBE-relaxed structure; copper Kα).
Neutral-atom scattering factors, no anomalous dispersion.

The 10 most intense peaks (10 to 90 degrees two-theta), sorted by position:
d 3.042, rel. 33; d 2.978, rel. 23; d 2.813, rel. 51; d 2.758, rel. 100; d 2.621, rel. 88; d 1.769, rel. 39; d 1.644, rel. 21; d 1.557, rel. 18; d 1.497, rel. 45; d 1.101, rel. 18

Cell and atoms:
```
18
Lattice="3.0643 -5.3056 0.0000 3.0643 5.3056 0.0000 -2.0485 0.0000 16.8801" Properties=species:S:1:pos:R:3 pbc="T T T"
Dy 0.0000 0.0000 0.0000
Dy 2.0401 3.5368 8.4401
Dy 3.0643 1.7727 0.0000
Dy 3.0643 -1.7727 0.0000
Dy 2.0401 -3.5368 8.4401
Er 2.0426 3.5369 2.8463
Er 0.0214 0.0000 5.6466
Er 1.0270 1.7496 11.2337
Er 2.0376 3.5369 14.0338
Er 2.0417 0.0000 2.8325
Er 3.0532 1.7496 5.6464
Er 1.0270 -1.7496 11.2337
Er 2.0385 0.0000 14.0476
Er 2.0426 -3.5369 2.8463
Er 3.0532 -1.7496 5.6464
Er 4.0588 0.0000 11.2335
Er 2.0376 -3.5369 14.0338
Sc 2.0401 0.0000 8.4401
```

---

7.
Structure and simulated X-ray diffraction stick pattern of PrHf2Ga6 (a GGA-PBE-relaxed structure; copper Kα).
Neutral-atom scattering factors, no anomalous dispersion.

The 10 most intense peaks (10 to 90 degrees two-theta), sorted by position:
d 6.085, rel. 26; d 3.614, rel. 20; d 3.125, rel. 27; d 2.615, rel. 100; d 2.385, rel. 21; d 2.379, rel. 67; d 2.173, rel. 28; d 2.099, rel. 34; d 2.028, rel. 34; d 1.458, rel. 22

Cell and atoms:
```
9
Lattice="-2.0985 3.4659 6.3516 2.0985 -3.4659 6.3516 2.0985 3.4659 -6.3516" Properties=species:S:1:pos:R:3 pbc="T T T"
Pr 0.0000 0.0000 0.0000
Hf 2.0985 0.0000 4.8235
Hf 0.0000 3.4659 1.5281
Ga 2.0985 1.4640 -2.4392
Ga 2.0985 2.2192 0.0000
Ga 2.0985 1.4640 2.4392
Ga 0.0000 2.0018 3.9124
Ga 0.0000 1.2467 6.3516
Ga 0.0000 2.0018 8.7908
```

---

8.
Structure and simulated X-ray diffraction stick pattern of YHfNb (a GGA-PBE-relaxed structure; copper Kα).
Neutral-atom scattering factors, no anomalous dispersion.

The 10 most intense peaks (10 to 90 degrees two-theta), sorted by position:
d 5.277, rel. 29; d 2.923, rel. 15; d 2.715, rel. 14; d 2.603, rel. 100; d 2.571, rel. 56; d 2.544, rel. 79; d 2.496, rel. 53; d 1.791, rel. 35; d 1.502, rel. 18; d 1.461, rel. 17

Cell and atoms:
```
12
Lattice="10.8209 0.0000 0.0000 0.0000 4.9918 0.0000 -3.6869 0.0000 5.2768" Properties=species:S:1:pos:R:3 pbc="T T T"
Y 0.0000 0.0000 0.0000
Y -1.4588 2.4959 4.4258
Y 5.4105 2.4959 0.0000
Y 3.9517 0.0000 4.4258
Hf 0.7301 2.4959 2.1336
Hf 3.0950 0.0000 1.2368
Hf 6.1406 0.0000 2.1336
Hf 8.5055 2.4959 1.2368
Nb 0.7478 0.0000 3.3107
Nb 3.6036 2.4959 2.4311
Nb 6.1583 2.4959 3.3107
Nb 9.0141 0.0000 2.4311
```

---

Copy entry 7 word for word.
Structure and simulated X-ray diffraction stick pattern of PrHf2Ga6 (a GGA-PBE-relaxed structure; copper Kα).
Neutral-atom scattering factors, no anomalous dispersion.

The 10 most intense peaks (10 to 90 degrees two-theta), sorted by position:
d 6.085, rel. 26; d 3.614, rel. 20; d 3.125, rel. 27; d 2.615, rel. 100; d 2.385, rel. 21; d 2.379, rel. 67; d 2.173, rel. 28; d 2.099, rel. 34; d 2.028, rel. 34; d 1.458, rel. 22

Cell and atoms:
```
9
Lattice="-2.0985 3.4659 6.3516 2.0985 -3.4659 6.3516 2.0985 3.4659 -6.3516" Properties=species:S:1:pos:R:3 pbc="T T T"
Pr 0.0000 0.0000 0.0000
Hf 2.0985 0.0000 4.8235
Hf 0.0000 3.4659 1.5281
Ga 2.0985 1.4640 -2.4392
Ga 2.0985 2.2192 0.0000
Ga 2.0985 1.4640 2.4392
Ga 0.0000 2.0018 3.9124
Ga 0.0000 1.2467 6.3516
Ga 0.0000 2.0018 8.7908
```

---

What did the fourth record say?
Structure and simulated X-ray diffraction stick pattern of Si4C3 (a GGA-PBE-relaxed structure; copper Kα).
Neutral-atom scattering factors, no anomalous dispersion.

The 10 most intense peaks (10 to 90 degrees two-theta), sorted by position:
d 4.361, rel. 3; d 3.084, rel. 2; d 2.518, rel. 100; d 2.181, rel. 24; d 1.950, rel. 1; d 1.780, rel. 1; d 1.542, rel. 43; d 1.315, rel. 36; d 1.259, rel. 6; d 1.090, rel. 7

Cell and atoms:
```
7
Lattice="4.3611 0.0000 0.0000 0.0000 4.3611 0.0000 0.0000 0.0000 4.3611" Properties=species:S:1:pos:R:3 pbc="T T T"
Si 1.0835 1.0835 3.2776
Si 1.0835 3.2776 1.0835
Si 3.2776 1.0835 1.0835
Si 3.2776 3.2776 3.2776
C 0.0000 2.1806 2.1806
C 2.1806 0.0000 2.1806
C 2.1806 2.1806 0.0000
```